Entry 1:
NaB3H8: calculated X-ray powder pattern (Cu Kα (weighted mean of Kα1 and Kα2)), based on a crystal structure in Alexandria, relaxed with PBE.
Kinematic intensities with the Lorentz-polarization factor, no thermal factor.

abc: 7.8341 5.7284 4.5124
angles: 90.00 90.00 90.00
Space group Pmn2_1 (No. 31)
One atom of each set of equivalent atoms:
Na: 0.0000 0.0611 0.0000 x2
B: 0.0000 0.4927 0.6051 x2
B: 0.1134 0.7476 0.4955 x4
H: 0.0000 0.3191 0.4510 x2
H: 0.0000 0.4562 0.8692 x2
H: 0.1706 0.7721 0.2481 x4
H: 0.1762 0.5497 0.5621 x4
H: 0.1795 0.8713 0.6810 x4

Top 10 peaks for 2θ from 10° to 90°, by intensity:
index, 2θ (°), I_rel
1 1 1, 27.62, 100
2 0 0, 22.70, 49
0 1 1, 25.12, 49
1 2 1, 38.97, 34
0 0 2, 39.92, 30
3 1 1, 43.03, 25
1 3 2, 65.10, 17
3 1 0, 37.86, 13
1 3 0, 49.12, 13
2 0 2, 46.43, 12

Entry 2:
Cs2ZrPF6: calculated X-ray powder pattern (Cu Kα (weighted mean of Kα1 and Kα2)), based on a crystal structure in Alexandria, relaxed with PBE.
Kinematic intensities with the Lorentz-polarization factor, no thermal factor.

abc: 7.0755 7.0755 10.0905
angles: 90.00 90.00 90.00
Space group I4/mmm (No. 139)
One atom of each set of equivalent atoms:
Cs: 0.0000 0.5000 0.2500 x4
Zr: 0.0000 0.0000 0.0000 x2
P: 0.0000 0.0000 0.5000 x2
F: 0.0000 0.0000 0.2022 x4
F: 0.2039 0.2039 0.0000 x8

Top 10 peaks for 2θ from 10° to 90°, by intensity:
index, 2θ (°), I_rel
1 1 2, 25.07, 100
2 0 0, 25.17, 49
3 1 2, 44.29, 37
2 2 0, 35.90, 35
2 0 2, 30.87, 25
1 0 1, 15.29, 24
3 3 2, 58.30, 22
2 2 4, 51.44, 21
2 0 4, 44.09, 19
0 0 4, 35.59, 18

Entry 3:
BeMoW2: calculated X-ray powder pattern (Cu Kα (weighted mean of Kα1 and Kα2)), based on a crystal structure in Alexandria, relaxed with PBE.
Kinematic intensities with the Lorentz-polarization factor, no thermal factor.

abc: 3.2684 4.3653 8.0393
angles: 90.00 90.00 90.00
Space group Cmm2 (No. 35)
One atom of each set of equivalent atoms:
Be: 0.0000 0.0000 0.0000 x2
Mo: 0.0000 0.5000 0.2206 x2
W: 0.0000 0.0000 0.4986 x2
W: 0.0000 0.5000 0.7782 x2

Top 10 peaks for 2θ from 10° to 90°, by intensity:
index, 2θ (°), I_rel
1 1 2, 41.17, 100
0 0 1, 11.01, 60
1 1 1, 36.10, 41
0 2 0, 41.37, 27
0 0 3, 33.44, 24
1 1 5, 68.50, 18
1 3 2, 75.30, 17
0 0 4, 45.11, 15
0 2 3, 54.20, 12
0 2 4, 62.86, 11